No. 1
BaIn9Pd2: calculated XRD peak list (Cu Kα X-rays), based on a structure optimized by DFT (GGA-PBE).
Neutral-atom scattering factors, no anomalous dispersion.

Structure:
```
data_BaIn9Pd2
_space_group_name_H-M_alt 'I 41/a m d'
_space_group_IT_number 141
_cell_length_a 12.0331
_cell_length_b 12.0331
_cell_length_c 8.3513
_cell_angle_alpha 90.00
_cell_angle_beta 90.00
_cell_angle_gamma 90.00
loop_
_space_group_symop_operation_xyz
'x,y,z'
'-x,-y,-z'
'-y+1/4,x+3/4,z+1/4'
'y+1/4,-x+3/4,-z+1/4'
'-x+1/2,-y,z+1/2'
'x+1/2,y,-z+1/2'
'y+1/4,-x+1/4,z+3/4'
'-y+1/4,x+1/4,-z+3/4'
'x,-y,-z'
'-x,y,z'
'-y+1/4,-x+1/4,-z+3/4'
'y+1/4,x+1/4,z+3/4'
'-x+1/2,y,-z+1/2'
'x+1/2,-y,z+1/2'
'y+1/4,x+3/4,-z+1/4'
'-y+1/4,-x+3/4,z+1/4'
'x+1/2,y+1/2,z+1/2'
'-x+1/2,-y+1/2,-z+1/2'
'-y+3/4,x+1/4,z+3/4'
'y+3/4,-x+1/4,-z+3/4'
'-x,-y+1/2,z'
'x,y+1/2,-z'
'y+3/4,-x+3/4,z+1/4'
'-y+3/4,x+3/4,-z+1/4'
'x+1/2,-y+1/2,-z+1/2'
'-x+1/2,y+1/2,z+1/2'
'-y+3/4,-x+3/4,-z+1/4'
'y+3/4,x+3/4,z+1/4'
'-x,y+1/2,-z'
'x,-y+1/2,z'
'y+3/4,x+1/4,-z+3/4'
'-y+3/4,-x+1/4,z+3/4'
loop_
_atom_site_label
_atom_site_type_symbol
_atom_site_fract_x
_atom_site_fract_y
_atom_site_fract_z
Ba1 Ba 0.0000 0.2500 0.3750
In1 In 0.0000 0.2500 0.8750
In2 In 0.1225 0.0541 0.6847
Pd1 Pd 0.0000 0.0000 0.0000
```

Principal peaks in the range 2θ = 10–90°, in order of falling intensity:
2θ/deg, I/Imax, index
31.82, 100, 3 1 2
38.95, 92, 5 0 1
33.30, 59, 4 2 0
39.86, 40, 4 2 2
33.03, 38, 1 0 3
63.34, 29, 5 3 4
36.33, 29, 2 1 3
58.58, 24, 5 5 2


No. 2
Ba3In8Pd3: calculated XRD peak list (Cu Kα X-rays), based on a structure optimized by DFT (GGA-PBE).
Neutral-atom scattering factors, no anomalous dispersion.

Structure:
```
data_Ba3In8Pd3
_space_group_name_H-M_alt 'C 1 2/m 1'
_space_group_IT_number 12
_space_group_name_Hall '-C 2y'
_cell_length_a 17.9193
_cell_length_b 5.0932
_cell_length_c 9.7962
_cell_angle_alpha 90.00
_cell_angle_beta 122.96
_cell_angle_gamma 90.00
loop_
_atom_site_label
_atom_site_type_symbol
_atom_site_fract_x
_atom_site_fract_y
_atom_site_fract_z
Ba1 Ba 0.0000 0.0000 0.0000
Ba2 Ba 0.2157 0.5000 0.7101
In1 In 0.0083 0.5000 0.6750
In2 In 0.1331 0.0000 0.4312
In3 In 0.1468 0.0000 0.8526
In4 In 0.1530 0.5000 0.2753
Pd1 Pd 0.0000 0.0000 0.5000
Pd2 Pd 0.1567 0.5000 0.9945
```

Principal peaks in the range 2θ = 10–90°, in order of falling intensity:
2θ/deg, I/Imax, index
30.97, 100, 1 1 2
35.24, 48, 0 2 0
29.97, 28, 6 0 -2
32.57, 26, 3 1 -3
34.78, 23, 5 1 -3
41.34, 18, 3 1 -4
35.83, 18, 6 0 0
34.68, 16, 1 1 -3


No. 3
Ba8InPd2: calculated XRD peak list (Cu Kα X-rays), based on a structure optimized by DFT (GGA-PBE).
Neutral-atom scattering factors, no anomalous dispersion.

Structure:
```
data_Ba8InPd2
_space_group_name_H-M_alt 'C 1 m 1'
_space_group_IT_number 8
_space_group_name_Hall 'C -2y'
_cell_length_a 10.5605
_cell_length_b 15.0646
_cell_length_c 6.3436
_cell_angle_alpha 90.00
_cell_angle_beta 103.02
_cell_angle_gamma 90.00
loop_
_atom_site_label
_atom_site_type_symbol
_atom_site_fract_x
_atom_site_fract_y
_atom_site_fract_z
Ba1 Ba 0.0000 0.0000 0.0000
Ba2 Ba 0.0646 0.3668 0.7978
Ba3 Ba 0.1835 0.1329 0.6202
Ba4 Ba 0.2463 0.5000 0.4162
Ba5 Ba 0.3742 0.2470 0.2090
In1 In 0.3728 0.0000 0.2082
Pd1 Pd 0.3737 0.3139 0.7086
```

Principal peaks in the range 2θ = 10–90°, in order of falling intensity:
2θ/deg, I/Imax, index
27.74, 100, 0 4 1
27.39, 79, 3 1 -1
24.89, 71, 2 0 1
31.59, 69, 3 3 0
28.86, 67, 1 1 -2
29.39, 60, 2 4 0
47.23, 50, 4 4 -2
55.11, 45, 2 8 1


No. 4
Ba2In5Pd3: calculated XRD peak list (Cu Kα X-rays), based on a structure optimized by DFT (GGA-PBE).
Neutral-atom scattering factors, no anomalous dispersion.

Structure:
```
data_Ba2In5Pd3
_space_group_name_H-M_alt 'I b a m'
_space_group_IT_number 72
_space_group_name_Hall '-I 2 2c'
_cell_length_a 11.1516
_cell_length_b 13.9908
_cell_length_c 6.8371
_cell_angle_alpha 90.00
_cell_angle_beta 90.00
_cell_angle_gamma 90.00
loop_
_atom_site_label
_atom_site_type_symbol
_atom_site_fract_x
_atom_site_fract_y
_atom_site_fract_z
Ba1 Ba 0.2380 0.1245 0.0000
In1 In 0.0000 0.2694 0.2500
In2 In 0.0000 0.5000 0.2500
In3 In 0.1243 0.1201 0.5000
Pd1 Pd 0.0000 0.0000 0.2500
Pd2 Pd 0.1313 0.3832 0.0000
```

Principal peaks in the range 2θ = 10–90°, in order of falling intensity:
2θ/deg, I/Imax, index
30.18, 100, 2 4 0
36.76, 68, 0 4 2
30.68, 47, 2 0 2
44.66, 21, 5 2 1
41.81, 16, 4 0 2
48.64, 16, 3 2 3
47.94, 15, 3 6 1
41.42, 14, 4 4 0


No. 5
Ba3In5Pd6: calculated XRD peak list (Cu Kα X-rays), based on a structure optimized by DFT (GGA-PBE).
Neutral-atom scattering factors, no anomalous dispersion.

Structure:
```
data_Ba3In5Pd6
_space_group_name_H-M_alt 'I m m m'
_space_group_IT_number 71
_space_group_name_Hall '-I 2 2'
_cell_length_a 4.7622
_cell_length_b 10.4731
_cell_length_c 13.7953
_cell_angle_alpha 90.00
_cell_angle_beta 90.00
_cell_angle_gamma 90.00
loop_
_atom_site_label
_atom_site_type_symbol
_atom_site_fract_x
_atom_site_fract_y
_atom_site_fract_z
Ba1 Ba 0.0000 0.0000 0.0000
Ba2 Ba 0.0000 0.0000 0.3081
In1 In 0.0000 0.3293 0.3259
In2 In 0.0000 0.5000 0.0000
Pd1 Pd 0.0000 0.1873 0.5000
Pd2 Pd 0.0000 0.2812 0.1148
```

Principal peaks in the range 2θ = 10–90°, in order of falling intensity:
2θ/deg, I/Imax, index
37.78, 100, 2 0 0
32.00, 88, 1 2 3
34.40, 75, 1 3 2
31.78, 74, 1 3 0
32.19, 70, 0 3 3
37.68, 66, 1 0 5
41.58, 58, 1 2 5
31.05, 46, 0 2 4


No. 6
Ba8InPdPt2: calculated XRD peak list (Cu Kα X-rays), based on a structure optimized by DFT (GGA-PBE).
Neutral-atom scattering factors, no anomalous dispersion.

Structure:
```
data_Ba8InPdPt2
_space_group_name_H-M_alt 'P 1 2/m 1'
_space_group_IT_number 10
_space_group_name_Hall '-P 2y'
_cell_length_a 7.6138
_cell_length_b 9.8088
_cell_length_c 7.7666
_cell_angle_alpha 90.00
_cell_angle_beta 91.33
_cell_angle_gamma 90.00
loop_
_atom_site_label
_atom_site_type_symbol
_atom_site_fract_x
_atom_site_fract_y
_atom_site_fract_z
Ba1 Ba 0.2067 0.0000 0.3399
Ba2 Ba 0.2183 0.5000 0.3235
Ba3 Ba 0.2707 0.2710 0.8152
In1 In 0.5000 0.0000 0.0000
Pd1 Pd 0.5000 0.5000 0.0000
Pt1 Pt 0.0000 0.2540 0.5000
```

Principal peaks in the range 2θ = 10–90°, in order of falling intensity:
2θ/deg, I/Imax, index
24.32, 100, 1 2 -1
39.36, 69, 0 2 3
16.12, 66, 1 0 -1
31.72, 60, 2 2 -1
24.58, 59, 1 2 1
16.50, 52, 1 0 1
32.12, 43, 2 2 1
36.65, 41, 0 4 0


No. 7
Ba2In12PdPt3: calculated XRD peak list (Cu Kα X-rays), based on a structure optimized by DFT (GGA-PBE).
Neutral-atom scattering factors, no anomalous dispersion.

Structure:
```
data_Ba2In12PdPt3
_space_group_name_H-M_alt 'R -3 m'
_space_group_IT_number 166
_space_group_name_Hall '-R 3 2"'
_cell_length_a 10.0508
_cell_length_b 10.0508
_cell_length_c 19.6841
_cell_angle_alpha 90.00
_cell_angle_beta 90.00
_cell_angle_gamma 120.00
loop_
_atom_site_label
_atom_site_type_symbol
_atom_site_fract_x
_atom_site_fract_y
_atom_site_fract_z
Ba1 Ba 0.0000 0.0000 0.1046
In1 In 0.0099 0.5049 0.1366
In2 In 0.0815 0.5407 0.3065
Pd1 Pd 0.0000 0.0000 0.5000
Pt1 Pt 0.0000 0.5000 0.0000
```

Principal peaks in the range 2θ = 10–90°, in order of falling intensity:
2θ/deg, I/Imax, index
35.73, 100, 2 2 0
20.90, 91, 0 2 1
11.11, 71, 1 0 1
38.10, 47, 0 2 7
41.76, 30, 4 0 1
56.50, 28, 0 4 8
27.18, 26, 0 0 6
33.49, 26, 1 0 7


No. 8
BaIn3PdRh: calculated XRD peak list (Cu Kα X-rays), based on a structure optimized by DFT (GGA-PBE).
Neutral-atom scattering factors, no anomalous dispersion.

Structure:
```
data_BaIn3PdRh
_space_group_name_H-M_alt 'C m c m'
_space_group_IT_number 63
_space_group_name_Hall '-C 2c 2'
_cell_length_a 7.5182
_cell_length_b 11.9468
_cell_length_c 7.4063
_cell_angle_alpha 90.00
_cell_angle_beta 90.00
_cell_angle_gamma 90.00
loop_
_atom_site_label
_atom_site_type_symbol
_atom_site_fract_x
_atom_site_fract_y
_atom_site_fract_z
Ba1 Ba 0.0000 0.2442 0.2500
In1 In 0.0000 0.2547 0.7500
In2 In 0.2447 0.0000 0.0000
Pd1 Pd 0.0000 0.4708 0.7500
Rh1 Rh 0.0000 0.0434 0.7500
```

Principal peaks in the range 2θ = 10–90°, in order of falling intensity:
2θ/deg, I/Imax, index
33.98, 100, 2 0 2
45.90, 65, 2 4 2
29.92, 54, 0 4 0
28.06, 44, 2 2 0
28.36, 28, 0 2 2
14.83, 25, 0 2 0
48.43, 18, 4 0 0
49.21, 17, 0 0 4


No. 9
BaPmIn6: calculated XRD peak list (Cu Kα X-rays), based on a structure optimized by DFT (GGA-PBE).
Neutral-atom scattering factors, no anomalous dispersion.

Structure:
```
data_BaPmIn6
_space_group_name_H-M_alt 'P m m 2'
_space_group_IT_number 25
_space_group_name_Hall 'P 2 -2'
_cell_length_a 5.0213
_cell_length_b 7.0677
_cell_length_c 6.5722
_cell_angle_alpha 90.00
_cell_angle_beta 90.00
_cell_angle_gamma 90.00
loop_
_atom_site_label
_atom_site_type_symbol
_atom_site_fract_x
_atom_site_fract_y
_atom_site_fract_z
Ba1 Ba 0.0000 0.0000 0.0000
Pm1 Pm 0.5000 0.5000 0.2494
In1 In 0.0000 0.2732 0.4755
In2 In 0.0000 0.5000 0.9214
In3 In 0.5000 0.0000 0.3878
In4 In 0.5000 0.2743 0.7675
```

Principal peaks in the range 2θ = 10–90°, in order of falling intensity:
2θ/deg, I/Imax, index
33.89, 100, 1 2 1
32.56, 55, 1 0 2
35.76, 34, 2 0 0
28.68, 31, 0 2 1
46.47, 16, 2 2 1
63.06, 16, 3 2 1
62.48, 13, 1 4 2
48.92, 13, 0 2 3


No. 10
Ba2PmInS5: calculated XRD peak list (Cu Kα X-rays), based on a structure optimized by DFT (GGA-PBE).
Neutral-atom scattering factors, no anomalous dispersion.

Structure:
```
data_Ba2PmInS5
_space_group_name_H-M_alt 'C m c 21'
_space_group_IT_number 36
_space_group_name_Hall 'C 2c -2'
_cell_length_a 4.1997
_cell_length_b 18.4828
_cell_length_c 13.0412
_cell_angle_alpha 90.00
_cell_angle_beta 90.00
_cell_angle_gamma 90.00
loop_
_atom_site_label
_atom_site_type_symbol
_atom_site_fract_x
_atom_site_fract_y
_atom_site_fract_z
Ba1 Ba 0.0000 0.1149 0.0000
Ba2 Ba 0.0000 0.1310 0.6321
Pm1 Pm 0.0000 0.2123 0.3373
In1 In 0.0000 0.4488 0.7590
S1 S 0.0000 0.0492 0.3671
S2 S 0.0000 0.2897 0.9786
S3 S 0.0000 0.3167 0.6900
S4 S 0.0000 0.3579 0.3196
S5 S 0.0000 0.4956 0.0906
```

Principal peaks in the range 2θ = 10–90°, in order of falling intensity:
2θ/deg, I/Imax, index
29.98, 100, 1 1 3
25.68, 67, 1 3 0
29.80, 63, 0 6 1
22.60, 55, 0 2 3
35.15, 51, 1 5 2
26.58, 41, 1 3 1
42.77, 34, 0 2 6
43.08, 28, 2 0 0


No. 11
BaPrInSe4: calculated XRD peak list (Cu Kα X-rays), based on a structure optimized by DFT (GGA-PBE).
Neutral-atom scattering factors, no anomalous dispersion.

Structure:
```
data_BaPrInSe4
_space_group_name_H-M_alt 'P 1 21/m 1'
_space_group_IT_number 11
_space_group_name_Hall '-P 2yb'
_cell_length_a 7.1901
_cell_length_b 7.2531
_cell_length_c 8.8955
_cell_angle_alpha 90.00
_cell_angle_beta 107.12
_cell_angle_gamma 90.00
loop_
_atom_site_label
_atom_site_type_symbol
_atom_site_fract_x
_atom_site_fract_y
_atom_site_fract_z
Ba1 Ba 0.2389 0.2500 0.0557
Pr1 Pr 0.2234 0.2500 0.5563
In1 In 0.2381 0.7500 0.3236
Se1 Se 0.0174 0.5157 0.7265
Se2 Se 0.4430 0.7500 0.1322
Se3 Se 0.4653 0.7500 0.6049
```

Principal peaks in the range 2θ = 10–90°, in order of falling intensity:
2θ/deg, I/Imax, index
30.81, 100, 2 1 -2
30.40, 98, 1 1 2
27.79, 66, 1 0 2
24.55, 63, 0 2 0
36.01, 48, 2 2 0
40.57, 45, 1 0 -4
32.45, 36, 0 2 2
32.58, 30, 1 2 -2


No. 12
BaIn2Pt: calculated XRD peak list (Cu Kα X-rays), based on a structure optimized by DFT (GGA-PBE).
Neutral-atom scattering factors, no anomalous dispersion.

Structure:
```
data_BaIn2Pt
_space_group_name_H-M_alt 'I m m m'
_space_group_IT_number 71
_space_group_name_Hall '-I 2 2'
_cell_length_a 3.7133
_cell_length_b 5.7759
_cell_length_c 10.5859
_cell_angle_alpha 90.00
_cell_angle_beta 90.00
_cell_angle_gamma 90.00
loop_
_atom_site_label
_atom_site_type_symbol
_atom_site_fract_x
_atom_site_fract_y
_atom_site_fract_z
Ba1 Ba 0.0000 0.0000 0.0000
In1 In 0.0000 0.5000 0.1982
Pt1 Pt 0.0000 0.0000 0.5000
```

Principal peaks in the range 2θ = 10–90°, in order of falling intensity:
2θ/deg, I/Imax, index
33.31, 100, 1 1 2
30.96, 36, 0 2 0
56.58, 22, 1 3 2
17.49, 17, 0 1 1
33.87, 14, 0 0 4
44.89, 11, 1 1 4
59.16, 11, 2 2 0
46.55, 11, 0 2 4


No. 13
Ba2InPt: calculated XRD peak list (Cu Kα X-rays), based on a structure optimized by DFT (GGA-PBE).
Neutral-atom scattering factors, no anomalous dispersion.

Structure:
```
data_Ba2InPt
_space_group_name_H-M_alt 'C 1 m 1'
_space_group_IT_number 8
_space_group_name_Hall 'C -2y'
_cell_length_a 8.7339
_cell_length_b 4.5499
_cell_length_c 8.8122
_cell_angle_alpha 90.00
_cell_angle_beta 107.12
_cell_angle_gamma 90.00
loop_
_atom_site_label
_atom_site_type_symbol
_atom_site_fract_x
_atom_site_fract_y
_atom_site_fract_z
Ba1 Ba 0.0000 0.0000 0.0000
Ba2 Ba 0.1517 0.0000 0.5083
In1 In 0.3918 0.0000 0.2543
Pt1 Pt 0.2104 0.5000 0.2543
```

Principal peaks in the range 2θ = 10–90°, in order of falling intensity:
2θ/deg, I/Imax, index
10.50, 100, 0 0 1
28.55, 39, 1 1 -2
36.66, 34, 3 1 -1
26.00, 26, 1 1 1
33.01, 25, 1 1 2
26.48, 15, 2 0 1
39.62, 15, 0 2 0
56.72, 13, 3 1 3